(1)
Diffraction record for Tb19Pm4Tm6. The PXRD pattern is theoretical, not measured: it uses a cell relaxed with GGA-PBE and Cu Kα.

Most intense lines, 10 to 90 degrees two-theta, sorted by position:
two_theta, intensity
26.7, 49
28.6, 60
30.4, 100
33.7, 17
35.2, 42
36.7, 75
42.2, 24
54.0, 26
60.2, 30
61.2, 22
64.2, 17
71.7, 18

Crystal structure
```
data_Tb19Pm4Tm6
_space_group_name_H-M_alt 'P 1'
_space_group_IT_number 1
_cell_length_a 10.8118
_cell_length_b 10.8118
_cell_length_c 10.8118
_cell_angle_alpha 109.47
_cell_angle_beta 109.47
_cell_angle_gamma 109.47
loop_
_space_group_symop_operation_xyz
'x,y,z'
loop_
_atom_site_label
_atom_site_type_symbol
_atom_site_fract_x
_atom_site_fract_y
_atom_site_fract_z
Tb1 Tb 0.0000 0.0000 0.0000
Tb2 Tb 0.0000 0.2634 0.2634
Tb3 Tb 0.0000 0.7366 0.7366
Tb4 Tb 0.0115 0.2156 0.6724
Tb5 Tb 0.2042 0.9885 0.6609
Tb6 Tb 0.2156 0.6724 0.0115
Tb7 Tb 0.2634 0.0000 0.2634
Tb8 Tb 0.2634 0.2634 0.0000
Tb9 Tb 0.3276 0.5433 0.3391
Tb10 Tb 0.3391 0.3276 0.5433
Tb11 Tb 0.4567 0.7844 0.7958
Tb12 Tb 0.5433 0.3391 0.3276
Tb13 Tb 0.6609 0.2042 0.9885
Tb14 Tb 0.6724 0.0115 0.2156
Tb15 Tb 0.7366 0.0000 0.7366
Tb16 Tb 0.7366 0.7366 0.0000
Tb17 Tb 0.7844 0.7958 0.4567
Tb18 Tb 0.7958 0.4567 0.7844
Tb19 Tb 0.9885 0.6609 0.2042
Pm1 Pm 0.0000 0.0000 0.3591
Pm2 Pm 0.0000 0.3591 0.0000
Pm3 Pm 0.3591 0.0000 0.0000
Pm4 Pm 0.6409 0.6409 0.6409
Tm1 Tm 0.1256 0.5000 0.6256
Tm2 Tm 0.3744 0.8744 0.5000
Tm3 Tm 0.5000 0.3744 0.8744
Tm4 Tm 0.5000 0.6256 0.1256
Tm5 Tm 0.6256 0.1256 0.5000
Tm6 Tm 0.8744 0.5000 0.3744
```

(2)
Diffraction record for K5Sb2Au. The PXRD pattern is theoretical, not measured: it uses a cell relaxed with GGA-PBE and Cu Kα.

Most intense lines, 10 to 90 degrees two-theta, sorted by position:
two_theta, intensity
17.4, 87
18.2, 50
27.6, 16
29.8, 100
30.0, 20
34.7, 17
35.4, 32
38.2, 21
41.1, 22
46.4, 15
53.0, 19
56.6, 16

Crystal structure
```
data_K5Sb2Au
_space_group_name_H-M_alt 'P 1'
_space_group_IT_number 1
_cell_length_a 10.2928
_cell_length_b 10.2928
_cell_length_c 10.2928
_cell_angle_alpha 33.82
_cell_angle_beta 33.82
_cell_angle_gamma 33.82
loop_
_space_group_symop_operation_xyz
'x,y,z'
loop_
_atom_site_label
_atom_site_type_symbol
_atom_site_fract_x
_atom_site_fract_y
_atom_site_fract_z
K1 K 0.0000 0.0000 0.0000
K2 K 0.1316 0.1316 0.1316
K3 K 0.2826 0.2826 0.2826
K4 K 0.7174 0.7174 0.7174
K5 K 0.8684 0.8684 0.8684
Sb1 Sb 0.4079 0.4079 0.4079
Sb2 Sb 0.5921 0.5921 0.5921
Au1 Au 0.5000 0.5000 0.5000
```